NaH5CO4: calculated powder diffraction line list (Cu Kα (weighted mean of Kα1 and Kα2)), based on a crystal structure in Alexandria, relaxed with PBE.
Neutral-atom scattering factors, no anomalous dispersion.

Cell and atoms:
Cell lengths 7.742, 3.756, 8.052 Å; angles 90.00, 110.26, 90.00 degrees
Positions (direct):
Na (0.190, 0.000, 0.157)
Na (0.810, 0.500, 0.843)
H (0.050, 0.842, 0.606)
H (0.326, 0.083, 0.567)
H (0.329, 0.406, 0.962)
H (0.462, 0.842, 0.502)
H (0.494, 0.519, 0.133)
H (0.506, 0.019, 0.867)
H (0.538, 0.342, 0.498)
H (0.671, 0.906, 0.038)
H (0.674, 0.583, 0.433)
H (0.950, 0.342, 0.394)
C (0.109, 0.998, 0.731)
C (0.891, 0.498, 0.269)
O (0.020, 0.998, 0.836)
O (0.260, 0.162, 0.751)
O (0.359, 0.495, 0.085)
O (0.369, 0.039, 0.465)
O (0.631, 0.539, 0.535)
O (0.641, 0.995, 0.915)
O (0.740, 0.662, 0.249)
O (0.980, 0.498, 0.164)

Largest 10 diffraction maxima, low angle first, 5° ≤ 2θ ≤ 70°:
2θ/deg	d [Å]	Rel. int.	hkl
11.72	7.554	38	0 0 1
26.50	3.363	26	0 1 1
26.72	3.337	76	1 1 0
30.22	2.958	56	1 0 2
32.87	2.725	24	1 1 -2
33.40	2.683	100	2 1 -1
34.35	2.611	19	2 1 0
35.66	2.518	25	0 0 3
41.34	2.184	21	1 1 -3
43.97	2.059	30	3 1 -2